1.
ZnAg6Au12: calculated X-ray powder pattern (Cu Kα, 1.54184 Å), based on a structure optimized by DFT (GGA-PBE).
Peak positions follow from Bragg's law for the DFT cell and can differ from measured ones.

```
ZnAg6Au12
1.0
6.375 3.680 2.409
-6.375 3.680 2.409
0.000 -7.361 2.409
Zn Ag Au
1 6 12
direct
0.000 0.000 0.000
0.212 0.474 0.316
0.316 0.212 0.474
0.474 0.316 0.212
0.526 0.684 0.788
0.684 0.788 0.526
0.788 0.526 0.684
0.050 0.366 0.578
0.106 0.742 0.155
0.155 0.106 0.742
0.258 0.845 0.894
0.366 0.578 0.050
0.422 0.950 0.634
0.578 0.050 0.366
0.634 0.422 0.950
0.742 0.155 0.106
0.845 0.894 0.258
0.894 0.258 0.845
0.950 0.634 0.422
```

Principal peaks in the range 10° ≤ 2θ ≤ 90°, by angle:
2theta	I/Imax
37.32	34
37.63	100
43.64	66
63.21	22
63.63	22
76.15	26

=====

2.
Sr3Tl2Cd: calculated X-ray powder pattern (Cu Kα, 1.54184 Å), based on a structure optimized by DFT (GGA-PBE).
Peak positions follow from Bragg's law for the DFT cell and can differ from measured ones.

```
Sr3Tl2Cd
1.0
4.084 0.000 0.000
0.000 4.084 0.000
0.000 0.000 12.311
Sr Tl Cd
3 2 1
direct
0.000 0.000 0.000
0.000 0.000 0.334
0.000 0.000 0.666
0.500 0.500 0.166
0.500 0.500 0.834
0.500 0.500 0.500
```

Principal peaks in the range 10° ≤ 2θ ≤ 90°, by angle:
2theta	I/Imax
30.91	100
44.36	12
54.89	13
55.03	26
64.36	8
73.27	11

=====

3.
Li3Zn2Rh3: calculated X-ray powder pattern (Cu Kα, 1.54184 Å), based on a structure optimized by DFT (GGA-PBE).
Peak positions follow from Bragg's law for the DFT cell and can differ from measured ones.

```
Li3Zn2Rh3
1.0
4.097 0.000 0.000
0.000 4.163 0.000
0.000 0.000 6.277
Li Zn Rh
3 2 3
direct
0.000 0.000 0.000
0.500 0.000 0.256
0.500 0.000 0.744
0.000 0.500 0.251
0.000 0.500 0.749
0.000 0.000 0.500
0.500 0.500 0.000
0.500 0.500 0.500
```

Principal peaks in the range 10° ≤ 2θ ≤ 90°, by angle:
2theta	I/Imax
14.11	18
21.34	36
36.05	19
42.28	100
43.47	23
44.22	22

=====

4.
AcZn2AgPd: calculated X-ray powder pattern (Cu Kα, 1.54184 Å), based on a structure optimized by DFT (GGA-PBE).
Peak positions follow from Bragg's law for the DFT cell and can differ from measured ones.

```
AcZn2AgPd
1.0
-2.147 2.193 5.729
2.147 -2.193 5.729
2.147 2.193 -5.729
Ac Zn Ag Pd
1 2 1 1
direct
0.000 0.000 0.000
0.376 0.376 0.000
0.744 0.244 0.500
0.247 0.747 0.500
0.598 0.598 0.000
```

Principal peaks in the range 10° ≤ 2θ ≤ 90°, by angle:
2theta	I/Imax
31.05	30
31.35	26
33.12	100
41.17	24
42.10	23
60.35	18

=====

5.
Rb2SmSbSe4: calculated X-ray powder pattern (Cu Kα, 1.54184 Å), based on a structure optimized by DFT (GGA-PBE).
Peak positions follow from Bragg's law for the DFT cell and can differ from measured ones.

```
Rb2SmSbSe4
1.0
-4.469 4.492 6.337
4.469 -4.492 6.337
4.469 4.492 -6.337
Rb Sm Sb Se
4 2 2 8
direct
0.000 0.000 0.000
0.500 0.000 0.000
0.500 0.000 0.500
0.500 0.500 0.500
0.000 0.000 0.500
0.000 0.500 0.000
0.000 0.500 0.500
0.500 0.500 0.000
0.201 0.732 0.468
0.234 0.267 0.533
0.234 0.701 0.967
0.236 0.268 0.968
0.764 0.732 0.032
0.766 0.299 0.033
0.766 0.733 0.467
0.799 0.268 0.532
```

Principal peaks in the range 10° ≤ 2θ ≤ 90°, by angle:
2theta	I/Imax
12.09	17
28.17	100
40.15	12
40.25	47
49.76	12
65.92	17

=====

6.
Sr3Zn4Ir2: calculated X-ray powder pattern (Cu Kα, 1.54184 Å), based on a structure optimized by DFT (GGA-PBE).
Peak positions follow from Bragg's law for the DFT cell and can differ from measured ones.

```
Sr3Zn4Ir2
1.0
4.386 0.000 0.000
-2.193 3.798 0.000
0.000 0.000 26.494
Sr Zn Ir
6 8 4
direct
0.000 0.000 0.079
0.000 0.000 0.257
0.000 0.000 0.411
0.000 0.000 0.589
0.000 0.000 0.743
0.000 0.000 0.921
0.333 0.667 0.170
0.333 0.667 0.334
0.333 0.667 0.500
0.333 0.667 0.666
0.333 0.667 0.830
0.667 0.333 0.170
0.667 0.333 0.500
0.667 0.333 0.830
0.333 0.667 0.000
0.667 0.333 0.000
0.667 0.333 0.334
0.667 0.333 0.666
```

Principal peaks in the range 10° ≤ 2θ ≤ 90°, by angle:
2theta	I/Imax
10.02	42
20.11	22
31.06	100
41.16	56
52.45	23
59.40	35